[1]
Structure and simulated X-ray diffraction stick pattern of Li3Mn2Se4O12 (a structure optimized by DFT (PBE+U); Cu Kα (weighted mean of Kα1 and Kα2)).
Lines closer than 0.1° are merged.

Lattice parameters (Å, degrees): 7.6026 8.3704 10.5610 73.87 88.75 65.29
Atoms (fractional coordinates):
Li: 0.0556 0.1199 0.3298
Li: 0.2448 0.0461 0.0780
Li: 0.3491 0.0427 0.5821
Li: 0.6509 0.9573 0.4179
Li: 0.7552 0.9539 0.9220
Li: 0.9444 0.8801 0.6702
Mn: 0.0000 0.5000 0.0000
Mn: 0.0000 0.5000 0.5000
Mn: 0.0603 0.7882 0.2206
Mn: 0.9397 0.2118 0.7794
Se: 0.2643 0.7480 0.9306
Se: 0.2845 0.7090 0.5206
Se: 0.3123 0.3241 0.2674
Se: 0.3253 0.2449 0.7956
Se: 0.6747 0.7551 0.2044
Se: 0.6877 0.6759 0.7326
Se: 0.7155 0.2910 0.4794
Se: 0.7357 0.2520 0.0694
O: 0.0381 0.9121 0.8530
O: 0.0866 0.6512 0.5664
O: 0.1228 0.3205 0.1765
O: 0.1414 0.2527 0.9036
O: 0.1907 0.4949 0.3464
O: 0.1918 0.2466 0.6573
O: 0.2152 0.8406 0.3582
O: 0.2230 0.8702 0.6023
O: 0.2337 0.5433 0.9766
O: 0.2702 0.7900 0.0805
O: 0.3600 0.1282 0.3912
O: 0.4822 0.0206 0.8472
O: 0.5178 0.9794 0.1528
O: 0.6400 0.8718 0.6088
O: 0.7298 0.2100 0.9195
O: 0.7663 0.4567 0.0234
O: 0.7770 0.1298 0.3977
O: 0.7848 0.1594 0.6418
O: 0.8082 0.7534 0.3427
O: 0.8093 0.5051 0.6536
O: 0.8586 0.7473 0.0964
O: 0.8772 0.6795 0.8235
O: 0.9134 0.3488 0.4336
O: 0.9619 0.0879 0.1470

Top 10 peaks for 2θ = 5–70°, sorted by position:
2theta  Rel. int.
23.91  33
24.26  100
24.51  67
25.68  25
25.96  34
27.02  51
28.94  25
29.96  30
30.85  55
39.81  26

=====

[2]
Structure and simulated X-ray diffraction stick pattern of Na3CrBAsO7 (a structure optimized by DFT (PBE+U); Cu Kα (weighted mean of Kα1 and Kα2)).
Lines closer than 0.1° are merged.

Lattice parameters (Å, degrees): 5.3627 6.7452 9.1140 90.00 92.01 90.00
Atoms (fractional coordinates):
Na: 0.2421 0.2500 0.0725
Na: 0.2486 0.9996 0.7560
Na: 0.2486 0.5004 0.7560
Na: 0.7514 0.0004 0.2440
Na: 0.7514 0.4996 0.2440
Na: 0.7579 0.7500 0.9275
Cr: 0.2187 0.7500 0.3282
Cr: 0.7813 0.2500 0.6718
B: 0.2749 0.7500 0.0644
B: 0.7251 0.2500 0.9356
As: 0.2855 0.2500 0.4241
As: 0.7145 0.7500 0.5759
O: 0.0406 0.7500 0.1304
O: 0.1293 0.2500 0.5843
O: 0.2104 0.0533 0.3100
O: 0.2104 0.4467 0.3100
O: 0.3094 0.7500 0.9189
O: 0.3972 0.7500 0.5336
O: 0.4701 0.7500 0.1726
O: 0.5299 0.2500 0.8274
O: 0.6028 0.2500 0.4664
O: 0.6906 0.2500 0.0811
O: 0.7896 0.5533 0.6900
O: 0.7896 0.9467 0.6900
O: 0.8707 0.7500 0.4157
O: 0.9594 0.2500 0.8696

Top 10 peaks for 2θ = 5–70°, sorted by position:
2theta  Rel. int.
9.71  100
23.59  33
25.21  34
26.43  63
29.34  30
32.70  35
33.05  56
33.43  68
48.24  28
54.40  31

=====

[3]
Structure and simulated X-ray diffraction stick pattern of MgCo7O12 (a structure optimized by DFT (PBE+U); Cu Kα (weighted mean of Kα1 and Kα2)).
Lines closer than 0.1° are merged.

Lattice parameters (Å, degrees): 5.0320 5.0673 9.5017 96.50 93.91 116.51
Atoms (fractional coordinates):
Mg: 0.0000 0.0000 0.0000
Co: 0.0986 0.4408 0.2675
Co: 0.1392 0.8674 0.5350
Co: 0.4499 0.1232 0.2863
Co: 0.5422 0.8885 0.7629
Co: 0.6312 0.3349 0.0059
Co: 0.7719 0.7836 0.2725
Co: 0.8260 0.5119 0.7422
O: 0.1461 0.1179 0.3881
O: 0.1729 0.6033 0.6546
O: 0.3436 0.9912 0.9063
O: 0.3548 0.3280 0.1517
O: 0.4415 0.7932 0.3569
O: 0.4982 0.1364 0.6462
O: 0.6451 0.6387 0.8792
O: 0.7531 0.0939 0.1715
O: 0.7889 0.7991 0.6523
O: 0.8361 0.5240 0.3815
O: 0.8673 0.2467 0.8727
O: 0.9591 0.6745 0.1277

Top 10 peaks for 2θ = 5–70°, sorted by position:
2theta  Rel. int.
18.97  84
20.69  52
20.88  37
23.37  37
28.60  44
36.33  33
42.38  81
43.80  100
45.01  88
65.21  40

=====

[4]
Structure and simulated X-ray diffraction stick pattern of Ca2VSbO6 (a structure optimized by DFT (PBE+U); Cu Kα (weighted mean of Kα1 and Kα2)).
Lines closer than 0.1° are merged.

Lattice parameters (Å, degrees): 5.7059 5.7059 5.7059 60.00 60.00 60.00
Atoms (fractional coordinates):
Ca: 0.2500 0.2500 0.2500
Ca: 0.7500 0.7500 0.7500
V: 0.0000 0.0000 0.0000
Sb: 0.5000 0.5000 0.5000
O: 0.2381 0.2381 0.7619
O: 0.2381 0.7619 0.2381
O: 0.2381 0.7619 0.7619
O: 0.7619 0.2381 0.2381
O: 0.7619 0.2381 0.7619
O: 0.7619 0.7619 0.2381

Top 10 peaks for 2θ = 5–70°, sorted by position:
2theta  Rel. int.
19.05  17
22.03  37
31.35  100
36.95  14
44.93  43
49.22  8
50.59  14
55.81  37
65.43  24
69.95  6

=====

[5]
Structure and simulated X-ray diffraction stick pattern of BaYInWO6 (a structure optimized by DFT (PBE+U); Cu Kα (weighted mean of Kα1 and Kα2)).
Lines closer than 0.1° are merged.

Lattice parameters (Å, degrees): 5.9995 5.9995 5.9995 60.00 60.00 60.00
Atoms (fractional coordinates):
Ba: 0.0000 0.0000 0.0000
Y: 0.7500 0.7500 0.7500
In: 0.5000 0.5000 0.5000
W: 0.2500 0.2500 0.2500
O: 0.0183 0.0183 0.4817
O: 0.0183 0.4817 0.0183
O: 0.0183 0.4817 0.4817
O: 0.4817 0.0183 0.0183
O: 0.4817 0.0183 0.4817
O: 0.4817 0.4817 0.0183

Top 10 peaks for 2θ = 5–70°, sorted by position:
2theta  Rel. int.
18.11  10
20.94  2
29.78  100
35.08  4
42.62  29
46.66  1
52.86  40
56.35  2
61.86  18
65.03  2

=====

[6]
Structure and simulated X-ray diffraction stick pattern of MgCr2Bi2O8 (a structure optimized by DFT (PBE+U); Cu Kα (weighted mean of Kα1 and Kα2)).
Lines closer than 0.1° are merged.

Lattice parameters (Å, degrees): 6.1230 6.1230 6.7529 119.84 119.84 76.63
Atoms (fractional coordinates):
Mg: 0.0000 0.0000 0.0000
Cr: 0.0024 0.5271 0.1323
Cr: 0.4729 0.9976 0.8677
Bi: 0.0200 0.4384 0.5633
Bi: 0.5616 0.9800 0.4367
O: 0.1715 0.7443 0.1553
O: 0.1935 0.3306 0.3069
O: 0.2557 0.8285 0.8447
O: 0.3513 0.1806 0.6935
O: 0.6694 0.8065 0.6931
O: 0.7441 0.1123 0.1770
O: 0.8194 0.6487 0.3065
O: 0.8877 0.2559 0.8230

Top 10 peaks for 2θ = 5–70°, sorted by position:
2theta  Rel. int.
16.98  59
18.56  53
23.43  100
23.96  95
29.08  46
30.55  70
32.40  77
33.76  62
42.01  38
49.06  47

=====

[7]
Structure and simulated X-ray diffraction stick pattern of FeOF (a structure optimized by DFT (PBE+U); Cu Kα (weighted mean of Kα1 and Kα2)).
Lines closer than 0.1° are merged.

Lattice parameters (Å, degrees): 4.7925 3.0727 9.5830 90.00 91.36 90.00
Atoms (fractional coordinates):
Fe: 0.0000 0.0000 0.0000
Fe: 0.0000 0.0000 0.5000
Fe: 0.4269 0.5000 0.2520
Fe: 0.5731 0.5000 0.7480
O: 0.1821 0.5000 0.4047
O: 0.2876 0.0000 0.1450
O: 0.7124 0.0000 0.8550
O: 0.8179 0.5000 0.5953
F: 0.1985 0.5000 0.9027
F: 0.3235 0.0000 0.6616
F: 0.6765 0.0000 0.3384
F: 0.8015 0.5000 0.0973

Top 10 peaks for 2θ = 5–70°, sorted by position:
2theta  Rel. int.
25.99  100
26.63  96
34.68  100
37.55  15
39.38  20
51.68  53
52.40  52
60.24  18
65.92  36
67.01  15

=====

[8]
Structure and simulated X-ray diffraction stick pattern of LiFeF4 (a structure optimized by DFT (PBE+U); Cu Kα (weighted mean of Kα1 and Kα2)).
Lines closer than 0.1° are merged.

Lattice parameters (Å, degrees): 7.5160 7.5160 7.5160 114.07 114.07 114.07
Atoms (fractional coordinates):
Li: 0.0889 0.0889 0.8222
Li: 0.0889 0.8222 0.0889
Li: 0.8222 0.0889 0.0889
Fe: 0.2050 0.7302 0.7302
Fe: 0.7302 0.2050 0.7302
Fe: 0.7302 0.7302 0.2050
F: 0.2296 0.9800 0.9800
F: 0.4003 0.4003 0.9887
F: 0.4003 0.9887 0.4003
F: 0.4965 0.7729 0.9733
F: 0.4965 0.9733 0.7729
F: 0.7729 0.4965 0.9733
F: 0.7729 0.9733 0.4965
F: 0.9733 0.4965 0.7729
F: 0.9733 0.7729 0.4965
F: 0.9800 0.2296 0.9800
F: 0.9800 0.9800 0.2296
F: 0.9887 0.4003 0.4003

Top 10 peaks for 2θ = 5–70°, sorted by position:
2theta  Rel. int.
14.04  45
17.82  28
22.76  100
24.45  16
26.85  12
28.31  28
44.53  15
46.49  26
46.92  30
57.43  19

=====

[9]
Structure and simulated X-ray diffraction stick pattern of Li4Ti2Nb3V3O16 (a structure optimized by DFT (PBE+U); Cu Kα (weighted mean of Kα1 and Kα2)).
Lines closer than 0.1° are merged.

Lattice parameters (Å, degrees): 6.0577 6.0577 9.8283 90.37 90.37 59.21
Atoms (fractional coordinates):
Li: 0.0000 0.0000 0.0000
Li: 0.0041 0.0041 0.4991
Li: 0.3408 0.3408 0.4092
Li: 0.6736 0.6736 0.8965
Ti: 0.3507 0.3507 0.0032
Ti: 0.6812 0.6812 0.5083
Nb: 0.1817 0.1817 0.7310
Nb: 0.3730 0.8261 0.2238
Nb: 0.8261 0.3730 0.2238
V: 0.1896 0.6588 0.7197
V: 0.6588 0.1896 0.7197
V: 0.8360 0.8360 0.2196
O: 0.0072 0.0072 0.3142
O: 0.0096 0.0096 0.8144
O: 0.0436 0.4854 0.8510
O: 0.1789 0.1789 0.1011
O: 0.1870 0.6682 0.1027
O: 0.3318 0.3318 0.6058
O: 0.3515 0.8463 0.6052
O: 0.4834 0.4834 0.8592
O: 0.4854 0.0436 0.8510
O: 0.5199 0.9674 0.3551
O: 0.5214 0.5214 0.3651
O: 0.6682 0.1870 0.1027
O: 0.6806 0.6806 0.0892
O: 0.8389 0.8389 0.6007
O: 0.8463 0.3515 0.6052
O: 0.9674 0.5199 0.3551

Top 10 peaks for 2θ = 5–70°, sorted by position:
2theta  Rel. int.
18.05  100
19.06  29
19.25  63
19.33  31
24.90  26
35.70  57
44.35  41
44.55  25
58.79  26
61.21  30